Diffraction record for Bi2Te2WO10. The X-ray diffraction stick pattern is simulated, not measured: it uses a crystal structure in Alexandria, relaxed with PBE+U and Cu Ka.

Principal peaks in the range 2θ from 15° to 90°, in order of rising 2θ:
d (Å), I/Imax
3.288, 100.0
3.233, 97.5
2.850, 26.4
2.824, 29.4
2.797, 26.8
2.006, 24.5
1.996, 22.7
1.715, 17.6
1.703, 14.5
1.691, 14.9

Cell and atoms:
```
Bi2Te2WO10
1.0
6.3311 -2.8498 0.0000
6.3311 2.8498 0.0000
-0.2849 0.0000 12.4816
Bi Te W O
4 4 2 20
direct
0.1507 0.6668 0.9566
0.3332 0.8493 0.5434
0.6668 0.1507 0.4566
0.8493 0.3332 0.0434
0.0768 0.5414 0.6410
0.4586 0.9232 0.8590
0.5414 0.0768 0.1410
0.9232 0.4586 0.3590
0.1773 0.8227 0.2500
0.8227 0.1773 0.7500
0.0023 0.2274 0.2449
0.0931 0.9061 0.0990
0.0939 0.9069 0.4010
0.2170 0.2177 0.4512
0.2177 0.2170 0.9512
0.2274 0.0023 0.7449
0.2664 0.5112 0.2556
0.3209 0.5287 0.5615
0.4713 0.6791 0.9385
0.4888 0.7336 0.2444
0.5112 0.2664 0.7556
0.5287 0.3209 0.0615
0.6791 0.4713 0.4385
0.7336 0.4888 0.7444
0.7726 0.9977 0.2551
0.7823 0.7830 0.0488
0.7830 0.7823 0.5488
0.9061 0.0931 0.5990
0.9069 0.0939 0.9010
0.9977 0.7726 0.7551
```